The following is a theoretical powder X-ray diffraction pattern of LiAl4F12. It was derived from a crystal structure in Alexandria, relaxed with PBE, using λ = 1.5418 Å (Cu Kα).

Cell and atoms:
a = 7.2565 Å, b = 7.3215 Å, c = 7.3845 Å
α = 90.00°, β = 90.00°, γ = 90.00°
Space group Immm (No. 71)
Symmetry-distinct sites (fractional):
Li1 0.0000 0.0000 0.0000 x2
Al1 0.2500 0.2500 0.2500 x8
F1 0.0000 0.2826 0.2880 x8
F2 0.1993 0.2079 0.0000 x8
F3 0.2183 0.0000 0.2856 x8

Most intense lines, 10 to 90 degrees two-theta, by intensity:
2θ = 24.10°, intensity 100, hkl 0 0 2
2θ = 24.31°, intensity 97, hkl 0 2 0
2θ = 24.54°, intensity 90, hkl 2 0 0
2θ = 49.36°, intensity 35, hkl 0 0 4
2θ = 49.82°, intensity 33, hkl 0 4 0
2θ = 50.30°, intensity 29, hkl 4 0 0
2θ = 38.61°, intensity 24, hkl 1 0 3
2θ = 56.52°, intensity 22, hkl 4 0 2
2θ = 56.08°, intensity 19, hkl 0 4 2
2θ = 39.21°, intensity 18, hkl 3 1 0